Simulated powder diffraction line list
Compound: CuP2H4O4
Radiation: Cu Kα
Structure: a cell relaxed with GGA-PBE

Main lines, low angle first (2θ from 5° to 70°):
- 2θ 12.3, d 7.186, I = 100, (0 0 2)
- 2θ 20.3, d 4.378, I = 12, (1 0 2)
- 2θ 22.1, d 4.015, I = 20, (1 1 1)
- 2θ 24.6, d 3.614, I = 23, (1 1 2)
- 2θ 28.3, d 3.150, I = 57, (1 1 3)
- 2θ 28.6, d 3.124, I = 13, (0 2 1)
- 2θ 32.4, d 2.761, I = 15, (2 0 0)
- 2θ 34.8, d 2.579, I = 13, (2 0 2)
- 2θ 38.0, d 2.369, I = 20, (1 1 5)
- 2θ 46.0, d 1.972, I = 17, (1 3 1)
- 2θ 55.4, d 1.659, I = 9, (3 1 3)
- 2θ 61.6, d 1.506, I = 10, (3 1 5)

Cell and atoms:
Unit cell a=5.522 b=6.402 c=14.371 alpha=90.00 beta=90.00 gamma=90.00
Positions (direct):
Cu1 0.000 0.000 0.000
Cu2 0.000 0.500 0.500
Cu3 0.500 0.000 0.500
Cu4 0.500 0.500 0.000
P1 0.055 0.112 0.372
P2 0.055 0.388 0.872
P3 0.445 0.612 0.372
P4 0.445 0.888 0.872
P5 0.555 0.112 0.128
P6 0.555 0.388 0.628
P7 0.945 0.612 0.128
P8 0.945 0.888 0.628
H1 0.033 0.221 0.286
H2 0.033 0.279 0.786
H3 0.071 0.078 0.643
H4 0.071 0.422 0.143
H5 0.429 0.578 0.643
H6 0.429 0.922 0.143
H7 0.467 0.721 0.286
H8 0.467 0.779 0.786
H9 0.533 0.221 0.214
H10 0.533 0.279 0.714
H11 0.571 0.078 0.857
H12 0.571 0.422 0.357
H13 0.929 0.578 0.857
H14 0.929 0.922 0.357
H15 0.967 0.721 0.214
H16 0.967 0.779 0.714
O1 0.088 0.724 0.051
O2 0.088 0.776 0.551
O3 0.174 0.570 0.384
O4 0.174 0.930 0.884
O5 0.326 0.070 0.384
O6 0.326 0.430 0.884
O7 0.412 0.224 0.051
O8 0.412 0.276 0.551
O9 0.588 0.724 0.449
O10 0.588 0.776 0.949
O11 0.674 0.570 0.116
O12 0.674 0.930 0.616
O13 0.826 0.070 0.116
O14 0.826 0.430 0.616
O15 0.912 0.224 0.449
O16 0.912 0.276 0.949